This entry pairs a crystal structure of Ba3TlAs3 with its calculated X-ray diffraction stick pattern. Radiation: a wavelength of 1.5418 Å. Structure: a GGA-PBE-relaxed structure.
Peak positions follow from Bragg's law for the DFT cell and can differ from measured ones.

Principal peaks in the range 2θ = 10–90°, most intense first:
2θ = 37.0°, I 100.0; 2θ = 25.7°, I 92.0; 2θ = 36.4°, I 83.1; 2θ = 36.2°, I 77.7; 2θ = 23.6°, I 60.9; 2θ = 14.6°, I 50.8; 2θ = 26.1°, I 34.0; 2θ = 27.2°, I 31.2

```
data_Ba3TlAs3
_chemical_formula_sum 'Ba12 Tl4 As12'
_space_group_name_H-M_alt 'P 1'
_space_group_IT_number 1
_cell_length_a 10.9686
_cell_length_b 10.9686
_cell_length_c 13.6619
_cell_angle_alpha 90.00
_cell_angle_beta 90.00
_cell_angle_gamma 38.01
loop_
_space_group_symop_operation_xyz
'x,y,z'
loop_
_atom_site_label
_atom_site_type_symbol
_atom_site_fract_x
_atom_site_fract_y
_atom_site_fract_z
_atom_site_occupancy
Ba1 Ba 0.0097 0.6362 0.1305 1
Ba2 Ba 0.1362 0.5097 0.6305 1
Ba3 Ba 0.1789 0.8211 0.8536 1
Ba4 Ba 0.3211 0.6789 0.3536 1
Ba5 Ba 0.3638 0.9903 0.1305 1
Ba6 Ba 0.4903 0.8638 0.6305 1
Ba7 Ba 0.5097 0.1362 0.3695 1
Ba8 Ba 0.6362 0.0097 0.8695 1
Ba9 Ba 0.6789 0.3211 0.6464 1
Ba10 Ba 0.8211 0.1789 0.1464 1
Ba11 Ba 0.8638 0.4903 0.3695 1
Ba12 Ba 0.9903 0.3638 0.8695 1
Tl1 Tl 0.0885 0.0885 0.5000 1
Tl2 Tl 0.4115 0.4115 0.0000 1
Tl3 Tl 0.5885 0.5885 0.0000 1
Tl4 Tl 0.9115 0.9115 0.5000 1
As1 As 0.0586 0.6178 0.3756 1
As2 As 0.1178 0.5586 0.8756 1
As3 As 0.2161 0.7839 0.6075 1
As4 As 0.2839 0.7161 0.1075 1
As5 As 0.3822 0.9414 0.3756 1
As6 As 0.4414 0.8822 0.8756 1
As7 As 0.5586 0.1178 0.1244 1
As8 As 0.6178 0.0586 0.6244 1
As9 As 0.7161 0.2839 0.8925 1
As10 As 0.7839 0.2161 0.3925 1
As11 As 0.8822 0.4414 0.1244 1
As12 As 0.9414 0.3822 0.6244 1
```